Theoretical powder diffractogram
Compound: SrGaBO4
Radiation: copper Kα
Structure: the PBE geometry in the Materials Project
Neutral-atom scattering factors, no anomalous dispersion.

Structure:
```
56
Lattice="9.1275 0.0000 0.0000 0.0000 15.5691 0.0000 0.0000 0.0000 5.9846" Properties=species:S:1:pos:R:3 pbc="T T T"
Sr 0.6704 1.8827 0.0000
Sr 1.9515 15.2437 2.9923
Sr 2.6123 7.4591 2.9923
Sr 3.8933 9.6672 0.0000
Sr 5.2341 5.9019 0.0000
Sr 6.5152 8.1100 2.9923
Sr 7.1760 0.3255 2.9923
Sr 8.4571 13.6865 0.0000
Ga 0.3319 10.1716 1.5083
Ga 0.3319 10.1716 4.4763
Ga 4.2319 2.3870 1.5083
Ga 4.2319 2.3870 4.4763
Ga 4.8956 13.1821 1.5083
Ga 4.8956 13.1821 4.4763
Ga 8.7956 5.3976 1.5083
Ga 8.7956 5.3976 4.4763
B 0.1746 2.9090 2.9923
B 1.8899 6.6102 0.0000
B 2.6738 14.3948 0.0000
B 4.3891 10.6936 2.9923
B 4.7384 4.8755 2.9923
B 6.4537 1.1743 0.0000
B 7.2375 8.9589 0.0000
B 8.9528 12.6601 2.9923
O 0.1438 3.5970 1.7757
O 0.1438 3.5970 4.2089
O 0.2743 1.5393 2.9923
O 1.1144 9.4634 2.9923
O 1.2990 6.2546 1.2021
O 1.2990 6.2546 4.7825
O 1.4051 10.0610 0.0000
O 1.4664 15.0518 0.0000
O 3.0974 7.2672 0.0000
O 3.1587 2.2764 0.0000
O 3.2648 14.0392 1.2021
O 3.2648 14.0392 4.7825
O 3.4493 1.6789 2.9923
O 4.2894 9.3239 2.9923
O 4.4200 11.3816 1.7757
O 4.4200 11.3816 4.2089
O 4.7075 4.1876 1.7757
O 4.7075 4.1876 4.2089
O 4.8380 6.2453 2.9923
O 5.6782 13.8902 2.9923
O 5.8627 1.5299 1.2021
O 5.8627 1.5299 4.7825
O 5.9688 13.2927 0.0000
O 6.0301 8.3019 0.0000
O 7.6611 0.5173 0.0000
O 7.7224 5.5081 0.0000
O 7.8285 9.3145 1.2021
O 7.8285 9.3145 4.7825
O 8.0130 6.1057 2.9923
O 8.8532 14.0298 2.9923
O 8.9837 11.9721 1.7757
O 8.9837 11.9721 4.2089
```

Top 12 peaks for 10° ≤ 2θ ≤ 80°, by angle:
2θ (°), intensity, hkl
19.5, 35, 2 0 0
19.7, 41, 1 3 0
22.6, 72, 2 2 0
22.8, 30, 0 4 0
27.3, 39, 0 4 1
30.2, 47, 2 4 0
31.6, 48, 3 2 0
32.0, 100, 0 2 2
35.9, 38, 2 0 2
36.0, 38, 1 3 2
46.0, 33, 3 3 2
50.7, 34, 4 1 2